[1]
Computed powder diffraction line list of Pm2ErTmSb5 for a wavelength of 1.5418 Å, from a structure optimized by DFT (GGA-PBE).
Intensities are scaled so that the largest is 100.

Crystal structure
```
Pm2ErTmSb5
1.0
5.238 0.000 0.000
0.000 5.238 0.000
0.000 0.000 11.598
Pm Er Tm Sb
2 1 1 5
direct
0.000 0.000 0.224 Pm
0.000 0.000 0.776 Pm
0.500 0.500 0.500 Er
0.500 0.500 0.000 Tm
0.000 0.000 0.500 Sb
0.000 0.500 0.000 Sb
0.500 0.000 0.000 Sb
0.500 0.500 0.254 Sb
0.500 0.500 0.746 Sb
```

Top 10 peaks for 15 to 90 degrees two-theta, sorted by position:
2θ/deg, Rel. int., hkl
24.03, 91.5, 1 1 0
25.24, 29.7, 1 1 1
30.84, 59.6, 0 0 4
33.51, 32.3, 1 1 3
34.24, 100.0, 2 0 0
39.47, 42.1, 1 1 4
46.74, 75.2, 2 0 4
49.20, 35.8, 2 2 0
59.20, 36.9, 2 2 4
82.32, 23.3, 4 2 0

---

[2]
Computed powder diffraction line list of Pm3Er4Sc2 for a wavelength of 1.5418 Å, from a structure optimized by DFT (GGA-PBE).
Intensities are scaled so that the largest is 100.

Crystal structure
```
Pm3Er4Sc2
1.0
6.056 0.000 0.000
2.024 9.029 0.000
1.048 3.115 9.972
Pm Er Sc
6 8 4
direct
0.034 0.192 0.441 Pm
0.305 0.139 0.889 Pm
0.358 0.532 0.781 Pm
0.642 0.468 0.219 Pm
0.695 0.861 0.111 Pm
0.966 0.808 0.559 Pm
0.086 0.582 0.333 Er
0.137 0.975 0.222 Er
0.251 0.748 0.998 Er
0.474 0.302 0.555 Er
0.526 0.698 0.445 Er
0.749 0.252 0.002 Er
0.863 0.025 0.778 Er
0.914 0.418 0.667 Er
0.195 0.361 0.111 Sc
0.420 0.917 0.667 Sc
0.580 0.083 0.333 Sc
0.805 0.639 0.889 Sc
```

Top 10 peaks for 15 to 90 degrees two-theta, sorted by position:
2θ/deg, Rel. int., hkl
31.26, 99.9, 2 0 1
31.36, 98.8, 1 3 2
36.31, 100.0, 1 1 4
52.14, 12.5, 2 -2 3
52.26, 35.3, 3 3 3
52.41, 23.1, -3 1 2
62.12, 20.8, 3 1 5
62.26, 41.1, 4 2 0
62.37, 13.6, 3 1 -4
85.35, 8.7, 4 -2 4

---

[3]
Computed powder diffraction line list of Pm2Er6Sc5 for a wavelength of 1.5418 Å, from a structure optimized by DFT (GGA-PBE).
Intensities are scaled so that the largest is 100.

Crystal structure
```
Pm2Er6Sc5
1.0
11.359 0.000 0.000
0.000 19.339 0.000
0.000 0.000 3.464
Pm Er Sc
4 12 10
direct
0.154 0.217 0.000 Pm
0.346 0.717 0.000 Pm
0.654 0.283 0.000 Pm
0.846 0.783 0.000 Pm
0.056 0.920 0.000 Er
0.088 0.634 0.000 Er
0.175 0.379 0.500 Er
0.325 0.879 0.500 Er
0.412 0.134 0.000 Er
0.444 0.420 0.000 Er
0.556 0.580 0.000 Er
0.588 0.866 0.000 Er
0.675 0.121 0.500 Er
0.825 0.621 0.500 Er
0.912 0.366 0.000 Er
0.944 0.080 0.000 Er
0.000 0.500 0.500 Sc
0.105 0.778 0.500 Sc
0.199 0.049 0.500 Sc
0.301 0.549 0.500 Sc
0.395 0.278 0.500 Sc
0.500 0.000 0.500 Sc
0.605 0.722 0.500 Sc
0.699 0.451 0.500 Sc
0.801 0.951 0.500 Sc
0.895 0.222 0.500 Sc
```

Top 10 peaks for 15 to 90 degrees two-theta, sorted by position:
2θ/deg, Rel. int., hkl
18.35, 16.1, 0 4 0
28.47, 22.3, 1 2 1
30.22, 12.5, 2 0 1
31.85, 30.3, 4 1 0
32.76, 13.1, 1 4 1
33.11, 20.7, 3 5 0
33.35, 100.0, 2 3 1
34.51, 12.5, 4 3 0
35.59, 20.5, 2 4 1
58.77, 12.3, 6 4 1